This entry pairs a crystal structure of Zr4Al3C6 with its calculated powder diffractogram. Radiation: Cu Kα. Structure: a crystal structure in OQMD, relaxed with PBE.
No peak broadening, texture or thermal motion is included.

Main lines, by angle (2θ = 5–70°):
- d 16.551, 2θ = 5.34°, I 100, hkl 0 0 2
- d 2.810, 2θ = 31.84°, I 10, hkl 1 0 3
- d 2.759, 2θ = 32.46°, I 13, hkl 0 0 12
- d 2.742, 2θ = 32.66°, I 54, hkl 1 0 4
- d 2.661, 2θ = 33.68°, I 23, hkl 1 0 5
- d 2.476, 2θ = 36.28°, I 12, hkl 1 0 7
- d 2.378, 2θ = 37.83°, I 42, hkl 1 0 8
- d 2.364, 2θ = 38.06°, I 10, hkl 0 0 14
- d 2.280, 2θ = 39.52°, I 23, hkl 1 0 9
- d 1.678, 2θ = 54.70°, I 28, hkl 1 1 0
- d 1.434, 2θ = 65.06°, I 11, hkl 1 1 12
- d 1.368, 2θ = 68.58°, I 10, hkl 1 1 14

Cell lengths 3.3559, 3.3559, 33.1022 Å; angles 90.00, 90.00, 120.00 degrees
Space group P6_3/mmc (No. 194)
One atom of each set of equivalent atoms:
Zr: 0.0000 0.0000 0.1206 x4
Zr: 0.3333 0.6667 0.0402 x4
Al: 0.3333 0.6667 0.2500 x2
Al: 0.3333 0.6667 0.6891 x4
C: 0.0000 0.0000 0.0000 x2
C: 0.3333 0.6667 0.1683 x4
C: 0.3333 0.6667 0.5830 x4
C: 0.3333 0.6667 0.7500 x2

***

This entry pairs a crystal structure of NdSmAs2Pt2 with its calculated powder diffractogram. Radiation: Cu Kα. Structure: a crystal structure in OQMD, relaxed with PBE.
No peak broadening, texture or thermal motion is included.

Main lines, by angle (2θ = 5–70°):
- d 3.954, 2θ = 22.49°, I 7, hkl 0 0 4
- d 3.659, 2θ = 24.32°, I 17, hkl 1 0 1
- d 3.062, 2θ = 29.16°, I 3, hkl 1 0 3
- d 2.725, 2θ = 32.86°, I 100, hkl 1 0 4
- d 2.421, 2θ = 37.14°, I 11, hkl 1 0 5
- d 2.172, 2θ = 41.59°, I 59, hkl 1 1 0
- d 1.977, 2θ = 45.90°, I 13, hkl 0 0 8
- d 1.903, 2θ = 47.78°, I 6, hkl 1 1 4
- d 1.698, 2θ = 53.99°, I 25, hkl 2 0 4
- d 1.617, 2θ = 56.96°, I 3, hkl 2 0 5
- d 1.592, 2θ = 57.92°, I 4, hkl 1 0 9
- d 1.462, 2θ = 63.65°, I 29, hkl 1 1 8

Cell lengths 4.3433, 4.3433, 15.8163 Å; angles 90.00, 90.00, 120.00 degrees
Space group P6_3/mmc (No. 194)
One atom of each set of equivalent atoms:
Nd: 0.0000 0.0000 0.0000 x2
Sm: 0.0000 0.0000 0.2500 x2
As: 0.3333 0.6667 0.1199 x4
Pt: 0.3333 0.6667 0.6352 x4

***

This entry pairs a crystal structure of Tm2ReAs5 with its calculated powder diffractogram. Radiation: Cu Kα. Structure: a crystal structure in OQMD, relaxed with PBE.
No peak broadening, texture or thermal motion is included.

Main lines, by angle (2θ = 5–70°):
- d 10.930, 2θ = 8.09°, I 71, hkl 0 0 1
- d 4.243, 2θ = 20.94°, I 16, hkl 1 0 0
- d 3.955, 2θ = 22.48°, I 43, hkl 1 0 1
- d 3.351, 2θ = 26.60°, I 18, hkl 1 0 2
- d 2.630, 2θ = 34.09°, I 13, hkl 1 1 2
- d 2.316, 2θ = 38.89°, I 100, hkl 1 1 3
- d 2.297, 2θ = 39.22°, I 14, hkl 1 0 4
- d 2.121, 2θ = 42.62°, I 39, hkl 2 0 0
- d 1.822, 2θ = 50.07°, I 11, hkl 0 0 6
- d 1.558, 2θ = 59.31°, I 11, hkl 2 1 4
- d 1.500, 2θ = 61.85°, I 13, hkl 2 2 0
- d 1.382, 2θ = 67.81°, I 18, hkl 2 0 6

Cell lengths 4.243, 4.243, 10.930 Å; angles 90.00, 90.00, 90.00 degrees
Space group P4/mmm (No. 123)
One atom of each set of equivalent atoms:
Tm: 0.000 0.000 0.156 x2
Re: 0.500 0.500 0.500 x1
As: 0.000 0.000 0.500 x1
As: 0.000 0.500 0.338 x4

***

What did the second record say?
This entry pairs a crystal structure of NdSmAs2Pt2 with its calculated powder diffractogram. Radiation: Cu Kα. Structure: a crystal structure in OQMD, relaxed with PBE.
No peak broadening, texture or thermal motion is included.

Main lines, by angle (2θ = 5–70°):
- d 3.954, 2θ = 22.49°, I 7, hkl 0 0 4
- d 3.659, 2θ = 24.32°, I 17, hkl 1 0 1
- d 3.062, 2θ = 29.16°, I 3, hkl 1 0 3
- d 2.725, 2θ = 32.86°, I 100, hkl 1 0 4
- d 2.421, 2θ = 37.14°, I 11, hkl 1 0 5
- d 2.172, 2θ = 41.59°, I 59, hkl 1 1 0
- d 1.977, 2θ = 45.90°, I 13, hkl 0 0 8
- d 1.903, 2θ = 47.78°, I 6, hkl 1 1 4
- d 1.698, 2θ = 53.99°, I 25, hkl 2 0 4
- d 1.617, 2θ = 56.96°, I 3, hkl 2 0 5
- d 1.592, 2θ = 57.92°, I 4, hkl 1 0 9
- d 1.462, 2θ = 63.65°, I 29, hkl 1 1 8

Cell lengths 4.3433, 4.3433, 15.8163 Å; angles 90.00, 90.00, 120.00 degrees
Space group P6_3/mmc (No. 194)
One atom of each set of equivalent atoms:
Nd: 0.0000 0.0000 0.0000 x2
Sm: 0.0000 0.0000 0.2500 x2
As: 0.3333 0.6667 0.1199 x4
Pt: 0.3333 0.6667 0.6352 x4

***

Copy entry 2 word for word.
This entry pairs a crystal structure of NdSmAs2Pt2 with its calculated powder diffractogram. Radiation: Cu Kα. Structure: a crystal structure in OQMD, relaxed with PBE.
No peak broadening, texture or thermal motion is included.

Main lines, by angle (2θ = 5–70°):
- d 3.954, 2θ = 22.49°, I 7, hkl 0 0 4
- d 3.659, 2θ = 24.32°, I 17, hkl 1 0 1
- d 3.062, 2θ = 29.16°, I 3, hkl 1 0 3
- d 2.725, 2θ = 32.86°, I 100, hkl 1 0 4
- d 2.421, 2θ = 37.14°, I 11, hkl 1 0 5
- d 2.172, 2θ = 41.59°, I 59, hkl 1 1 0
- d 1.977, 2θ = 45.90°, I 13, hkl 0 0 8
- d 1.903, 2θ = 47.78°, I 6, hkl 1 1 4
- d 1.698, 2θ = 53.99°, I 25, hkl 2 0 4
- d 1.617, 2θ = 56.96°, I 3, hkl 2 0 5
- d 1.592, 2θ = 57.92°, I 4, hkl 1 0 9
- d 1.462, 2θ = 63.65°, I 29, hkl 1 1 8

Cell lengths 4.3433, 4.3433, 15.8163 Å; angles 90.00, 90.00, 120.00 degrees
Space group P6_3/mmc (No. 194)
One atom of each set of equivalent atoms:
Nd: 0.0000 0.0000 0.0000 x2
Sm: 0.0000 0.0000 0.2500 x2
As: 0.3333 0.6667 0.1199 x4
Pt: 0.3333 0.6667 0.6352 x4

***

Repeat the first record exactly.
This entry pairs a crystal structure of Zr4Al3C6 with its calculated powder diffractogram. Radiation: Cu Kα. Structure: a crystal structure in OQMD, relaxed with PBE.
No peak broadening, texture or thermal motion is included.

Main lines, by angle (2θ = 5–70°):
- d 16.551, 2θ = 5.34°, I 100, hkl 0 0 2
- d 2.810, 2θ = 31.84°, I 10, hkl 1 0 3
- d 2.759, 2θ = 32.46°, I 13, hkl 0 0 12
- d 2.742, 2θ = 32.66°, I 54, hkl 1 0 4
- d 2.661, 2θ = 33.68°, I 23, hkl 1 0 5
- d 2.476, 2θ = 36.28°, I 12, hkl 1 0 7
- d 2.378, 2θ = 37.83°, I 42, hkl 1 0 8
- d 2.364, 2θ = 38.06°, I 10, hkl 0 0 14
- d 2.280, 2θ = 39.52°, I 23, hkl 1 0 9
- d 1.678, 2θ = 54.70°, I 28, hkl 1 1 0
- d 1.434, 2θ = 65.06°, I 11, hkl 1 1 12
- d 1.368, 2θ = 68.58°, I 10, hkl 1 1 14

Cell lengths 3.3559, 3.3559, 33.1022 Å; angles 90.00, 90.00, 120.00 degrees
Space group P6_3/mmc (No. 194)
One atom of each set of equivalent atoms:
Zr: 0.0000 0.0000 0.1206 x4
Zr: 0.3333 0.6667 0.0402 x4
Al: 0.3333 0.6667 0.2500 x2
Al: 0.3333 0.6667 0.6891 x4
C: 0.0000 0.0000 0.0000 x2
C: 0.3333 0.6667 0.1683 x4
C: 0.3333 0.6667 0.5830 x4
C: 0.3333 0.6667 0.7500 x2